Record 1
The following is a simulated PXRD pattern of MgMnV5O12. It was derived from a crystal structure in the Materials Project, relaxed with GGA+U, using CuKα.

Structural model:
Unit cell a=6.955 b=6.955 c=5.832 alpha=106.74 beta=106.74 gamma=79.85
Sites, in units of the cell vectors:
Mg: 0.000 0.000 0.000
Mn: 0.799 0.201 0.500
V: 0.111 0.468 0.007
V: 0.335 0.083 0.491
V: 0.532 0.889 0.993
V: 0.638 0.362 0.000
V: 0.917 0.665 0.509
O: 0.033 0.686 0.837
O: 0.082 0.630 0.323
O: 0.096 0.205 0.471
O: 0.314 0.967 0.163
O: 0.359 0.378 0.033
O: 0.370 0.918 0.677
O: 0.522 0.248 0.614
O: 0.622 0.641 0.967
O: 0.724 0.070 0.088
O: 0.752 0.478 0.386
O: 0.795 0.904 0.529
O: 0.930 0.276 0.912

Peak list (10 most intense, 2θ = 15–90°, most intense first)
d 3.207, 2θ = 27.81°, rel. 100; d 3.091, 2θ = 28.88°, rel. 47; d 2.702, 2θ = 33.15°, rel. 44; d 1.734, 2θ = 52.80°, rel. 20; d 2.553, 2θ = 35.16°, rel. 20; d 4.463, 2θ = 19.89°, rel. 18; d 3.441, 2θ = 25.89°, rel. 17; d 1.782, 2θ = 51.26°, rel. 17; d 2.009, 2θ = 45.14°, rel. 15; d 1.454, 2θ = 64.06°, rel. 14

=====

Record 2
The following is a simulated PXRD pattern of SrCa7Ti2Mn6O24. It was derived from a crystal structure in the Materials Project, relaxed with GGA+U, using CuKα.

Structural model:
Unit cell a=7.696 b=7.657 c=7.657 alpha=89.97 beta=90.00 gamma=90.00
Sites, in units of the cell vectors:
Sr: 0.000 0.000 0.000
Ca: 0.000 0.001 0.494
Ca: 0.000 0.494 0.001
Ca: 0.000 0.494 0.494
Ca: 0.500 0.001 0.001
Ca: 0.500 0.001 0.494
Ca: 0.500 0.494 0.001
Ca: 0.500 0.494 0.494
Ti: 0.251 0.746 0.746
Ti: 0.749 0.746 0.746
Mn: 0.251 0.248 0.248
Mn: 0.251 0.248 0.747
Mn: 0.251 0.747 0.248
Mn: 0.749 0.248 0.248
Mn: 0.749 0.248 0.747
Mn: 0.749 0.747 0.248
O: 0.000 0.250 0.250
O: 0.000 0.250 0.744
O: 0.000 0.744 0.250
O: 0.000 0.745 0.745
O: 0.250 0.248 0.497
O: 0.250 0.493 0.747
O: 0.250 0.497 0.248
O: 0.250 0.747 0.493
O: 0.252 0.001 0.745
O: 0.252 0.745 0.001
O: 0.253 0.250 0.997
O: 0.253 0.997 0.250
O: 0.500 0.247 0.747
O: 0.500 0.248 0.248
O: 0.500 0.747 0.247
O: 0.500 0.747 0.747
O: 0.747 0.250 0.997
O: 0.747 0.997 0.250
O: 0.748 0.001 0.745
O: 0.748 0.745 0.001
O: 0.750 0.248 0.497
O: 0.750 0.493 0.747
O: 0.750 0.497 0.248
O: 0.750 0.747 0.493

Peak list (10 most intense, 2θ = 15–90°, most intense first)
d 2.712, 2θ = 33.03°, rel. 100; d 1.914, 2θ = 47.50°, rel. 34; d 1.564, 2θ = 59.05°, rel. 23; d 1.357, 2θ = 69.24°, rel. 18; d 1.924, 2θ = 47.25°, rel. 17; d 1.568, 2θ = 58.89°, rel. 12; d 1.211, 2θ = 79.08°, rel. 10; d 1.354, 2θ = 69.43°, rel. 9; d 2.214, 2θ = 40.75°, rel. 9; d 1.107, 2θ = 88.27°, rel. 9

=====

Record 3
The following is a simulated PXRD pattern of CoP2O7. It was derived from a crystal structure in the Materials Project, relaxed with GGA+U, using CuKα.

Structural model:
Unit cell a=8.764 b=5.174 c=13.386 alpha=90.00 beta=116.29 gamma=90.00
Sites, in units of the cell vectors:
Co: 0.226 0.249 0.465
Co: 0.226 0.251 0.965
Co: 0.774 0.749 0.035
Co: 0.774 0.751 0.535
P: 0.188 0.734 0.616
P: 0.188 0.766 0.116
P: 0.338 0.739 0.862
P: 0.338 0.761 0.362
P: 0.662 0.239 0.638
P: 0.662 0.261 0.138
P: 0.812 0.234 0.884
P: 0.812 0.266 0.384
O: 0.017 0.728 0.121
O: 0.017 0.772 0.621
O: 0.208 0.043 0.085
O: 0.208 0.457 0.585
O: 0.223 0.567 0.046
O: 0.223 0.933 0.546
O: 0.230 0.547 0.379
O: 0.230 0.953 0.879
O: 0.261 0.029 0.356
O: 0.261 0.471 0.856
O: 0.333 0.714 0.242
O: 0.333 0.786 0.742
O: 0.477 0.239 0.054
O: 0.477 0.261 0.554
O: 0.523 0.739 0.446
O: 0.523 0.761 0.946
O: 0.667 0.214 0.258
O: 0.667 0.286 0.758
O: 0.739 0.529 0.144
O: 0.739 0.971 0.644
O: 0.770 0.047 0.121
O: 0.770 0.453 0.621
O: 0.777 0.067 0.454
O: 0.777 0.433 0.954
O: 0.792 0.543 0.415
O: 0.792 0.957 0.915
O: 0.983 0.228 0.379
O: 0.983 0.272 0.879

Peak list (10 most intense, 2θ = 15–90°, most intense first)
d 3.998, 2θ = 22.23°, rel. 100; d 3.928, 2θ = 22.64°, rel. 59; d 2.805, 2θ = 31.90°, rel. 23; d 2.587, 2θ = 34.68°, rel. 12; d 1.663, 2θ = 55.24°, rel. 11; d 2.544, 2θ = 35.28°, rel. 11; d 2.772, 2θ = 32.29°, rel. 10; d 2.044, 2θ = 44.31°, rel. 10; d 1.631, 2θ = 56.43°, rel. 7; d 2.224, 2θ = 40.56°, rel. 7

=====

Record 4
The following is a simulated PXRD pattern of MgCr2Sb2P4O16. It was derived from a crystal structure in the Materials Project, relaxed with GGA+U, using CuKα.

Structural model:
Unit cell a=4.899 b=6.533 c=11.048 alpha=85.29 beta=89.51 gamma=89.40
Sites, in units of the cell vectors:
Mg: 0.000 0.000 0.000
Cr: 0.104 0.777 0.306
Cr: 0.896 0.223 0.694
Sb: 0.475 0.696 0.773
Sb: 0.525 0.304 0.227
P: 0.076 0.254 0.404
P: 0.389 0.208 0.877
P: 0.611 0.792 0.123
P: 0.924 0.746 0.596
O: 0.119 0.238 0.539
O: 0.220 0.451 0.337
O: 0.229 0.082 0.336
O: 0.235 0.743 0.624
O: 0.240 0.009 0.839
O: 0.279 0.235 0.005
O: 0.292 0.386 0.783
O: 0.294 0.810 0.131
O: 0.706 0.190 0.869
O: 0.708 0.614 0.217
O: 0.721 0.765 0.995
O: 0.760 0.991 0.161
O: 0.765 0.257 0.376
O: 0.771 0.918 0.664
O: 0.780 0.549 0.663
O: 0.881 0.762 0.461

Peak list (10 most intense, 2θ = 15–90°, most intense first)
d 5.505, 2θ = 16.10°, rel. 100; d 3.674, 2θ = 24.23°, rel. 67; d 3.255, 2θ = 27.40°, rel. 64; d 3.724, 2θ = 23.90°, rel. 43; d 2.614, 2θ = 34.30°, rel. 43; d 2.730, 2θ = 32.80°, rel. 36; d 5.413, 2θ = 16.37°, rel. 30; d 1.954, 2θ = 46.47°, rel. 27; d 4.385, 2θ = 20.25°, rel. 25; d 4.489, 2θ = 19.78°, rel. 24

=====

Record 5
The following is a simulated PXRD pattern of CaCoF5. It was derived from a crystal structure in the Materials Project, relaxed with GGA+U, using CuKα.

Structural model:
Unit cell a=5.593 b=5.593 c=7.661 alpha=110.29 beta=110.29 gamma=71.67
Sites, in units of the cell vectors:
Ca: 0.046 0.954 0.750
Ca: 0.954 0.046 0.250
Co: 0.500 0.500 0.000
Co: 0.500 0.500 0.500
F: 0.199 0.787 0.034
F: 0.213 0.801 0.466
F: 0.258 0.295 0.384
F: 0.295 0.258 0.884
F: 0.408 0.592 0.750
F: 0.592 0.408 0.250
F: 0.705 0.742 0.116
F: 0.742 0.705 0.616
F: 0.787 0.199 0.534
F: 0.801 0.213 0.966

Peak list (10 most intense, 2θ = 15–90°, most intense first)
d 4.099, 2θ = 21.68°, rel. 100; d 3.306, 2θ = 26.97°, rel. 96; d 3.274, 2θ = 27.24°, rel. 42; d 2.049, 2θ = 44.19°, rel. 31; d 1.897, 2θ = 47.97°, rel. 31; d 1.738, 2θ = 52.67°, rel. 28; d 5.117, 2θ = 17.33°, rel. 23; d 1.915, 2θ = 47.47°, rel. 23; d 1.395, 2θ = 67.12°, rel. 15; d 1.653, 2θ = 55.59°, rel. 12

=====

Record 6
The following is a simulated PXRD pattern of Li4Mn2Co3Sn3O16. It was derived from a crystal structure in the Materials Project, relaxed with GGA+U, using CuKα.

Structural model:
Unit cell a=5.974 b=5.992 c=9.526 alpha=89.22 beta=88.67 gamma=60.49
Sites, in units of the cell vectors:
Li: 0.000 0.000 0.000
Li: 0.006 0.006 0.512
Li: 0.314 0.303 0.614
Li: 0.654 0.642 0.100
Mn: 0.319 0.309 0.006
Mn: 0.648 0.641 0.524
Co: 0.163 0.149 0.290
Co: 0.324 0.813 0.787
Co: 0.812 0.322 0.787
Sn: 0.161 0.641 0.290
Sn: 0.652 0.147 0.290
Sn: 0.819 0.810 0.790
O: 0.006 0.990 0.189
O: 0.036 0.442 0.159
O: 0.154 0.152 0.891
O: 0.157 0.659 0.907
O: 0.309 0.304 0.405
O: 0.324 0.820 0.408
O: 0.462 0.012 0.164
O: 0.477 0.459 0.154
O: 0.499 0.931 0.655
O: 0.506 0.503 0.667
O: 0.638 0.638 0.891
O: 0.653 0.157 0.907
O: 0.825 0.318 0.407
O: 0.825 0.815 0.417
O: 0.939 0.488 0.656
O: 0.997 0.993 0.696

Peak list (10 most intense, 2θ = 15–90°, most intense first)
d 4.762, 2θ = 18.63°, rel. 100; d 2.517, 2θ = 35.68°, rel. 58; d 4.587, 2θ = 19.35°, rel. 41; d 2.506, 2θ = 35.83°, rel. 27; d 4.501, 2θ = 19.72°, rel. 26; d 2.555, 2θ = 35.12°, rel. 24; d 4.526, 2θ = 19.61°, rel. 19; d 4.569, 2θ = 19.43°, rel. 19; d 1.550, 2θ = 59.67°, rel. 18; d 3.541, 2θ = 25.15°, rel. 17